Theoretical powder X-ray diffraction pattern
Compound: CaHo2VO6
Radiation: Cu Ka
Structure: a DFT-relaxed cell (PBE+U, Alexandria)

Top 10 peaks for 15° ≤ 2θ ≤ 90°, by angle:
- (0 1 -1), 21.77 deg, rel. 53
- (1 0 0), 21.90 deg, rel. 53
- (-1 1 1), 22.16 deg, rel. 52
- (1 -1 1), 30.28 deg, rel. 58
- (0 1 1), 30.53 deg, rel. 56
- (1 0 -2), 30.64 deg, rel. 55
- (1 -2 0), 31.86 deg, rel. 100
- (-2 1 1), 32.16 deg, rel. 48
- (0 3 -1), 56.59 deg, rel. 27
- (-3 3 1), 57.14 deg, rel. 30

Structure:
```
data_CaHo2VO6
_chemical_formula_sum 'Ca1 Ho2 V1 O6'
_space_group_name_H-M_alt 'P 1'
_space_group_IT_number 1
_space_group_name_Hall 'P 1'
_cell_length_a 5.568
_cell_length_b 5.616
_cell_length_c 5.851
_cell_angle_alpha 91.00
_cell_angle_beta 117.66
_cell_angle_gamma 119.66
loop_
_atom_site_label
_atom_site_type_symbol
_atom_site_fract_x
_atom_site_fract_y
_atom_site_fract_z
_atom_site_occupancy
Ca1 Ca 0.000 0.000 0.000 1
Ho1 Ho 0.551 0.273 0.828 1
Ho2 Ho 0.568 0.787 0.345 1
V1 V 0.972 0.483 0.457 1
O1 O 0.069 0.398 0.192 1
O2 O 0.070 0.222 0.655 1
O3 O 0.440 0.842 0.658 1
O4 O 0.516 0.117 0.179 1
O5 O 0.794 0.669 0.184 1
O6 O 0.824 0.582 0.650 1
```